# 1
Calculated X-ray powder pattern of Zn5P6H22N2O22 for Cu Kα, from a GGA-PBE-relaxed structure.
Kinematic intensities with the Lorentz-polarization factor, no thermal factor.

Cell and atoms:
Lattice parameters (Å, degrees): 6.9986 9.6911 10.0208 63.89 85.99 71.35
Space group P-1 (No. 2)
Unique sites:
1 Zn 0.0000 0.0000 0.0000
2 Zn 0.1440 0.6401 0.5209
3 Zn 0.1594 0.2922 0.1657
4 P 0.2625 0.9341 0.2995
5 P 0.2710 0.4110 0.3755
6 P 0.2827 0.4851 0.8524
7 H 0.1245 0.2114 0.7683
8 H 0.1691 0.9482 0.7313
9 H 0.1880 0.7211 0.9875
10 H 0.2166 0.6979 0.1517
11 H 0.2304 0.1965 0.9060
12 H 0.2331 0.0869 0.5790
13 H 0.2599 0.9030 0.5884
14 H 0.4195 0.9272 0.6945
15 H 0.4240 0.8297 0.2621
16 H 0.4630 0.3468 0.4510
17 H 0.4684 0.4757 0.9048
18 N 0.2716 0.9632 0.6505
19 O 0.0786 0.0010 0.1897
20 O 0.1353 0.6481 0.8429
21 O 0.1516 0.3014 0.4803
22 O 0.1800 0.5899 0.3492
23 O 0.2028 0.1288 0.8624
24 O 0.2168 0.8364 0.4614
25 O 0.2212 0.7715 0.0457
26 O 0.2239 0.3363 0.9617
27 O 0.2932 0.4079 0.2241
28 O 0.3086 0.4796 0.7011
29 O 0.3325 0.0714 0.2950

Largest 8 diffraction maxima, by intensity, 10 to 90 degrees two-theta:
Position (°2θ)	Rel. int.	h k l
13.4	100	1 0 0
19.3	65	-1 1 1
27.0	52	2 0 0
19.7	41	1 2 1
17.5	37	0 1 -1
28.1	37	0 2 3
16.0	33	1 0 -1
24.7	28	1 -1 1

---

# 2
Calculated X-ray powder pattern of Li4ZnSn2Pd for Cu Kα, from a GGA-PBE-relaxed structure.
Kinematic intensities with the Lorentz-polarization factor, no thermal factor.

Cell and atoms:
Lattice parameters (Å, degrees): 4.5190 4.5190 6.4135 90.00 90.00 90.00
Space group P-4m2 (No. 115)
Unique sites:
1 Li 0.0000 0.0000 0.0000
2 Li 0.0000 0.5000 0.2490
3 Li 0.5000 0.5000 0.5000
4 Zn 0.0000 0.0000 0.5000
5 Sn 0.0000 0.5000 0.7527
6 Pd 0.5000 0.5000 0.0000

Largest 8 diffraction maxima, by intensity, 10 to 90 degrees two-theta:
Position (°2θ)	Rel. int.	h k l
24.1	100	1 0 1
39.9	96	2 0 0
47.2	34	2 1 1
72.4	22	3 1 2
47.0	17	1 0 3
63.3	14	2 1 3
77.6	12	3 2 1
72.3	11	2 0 4

---

# 3
Calculated X-ray powder pattern of Ho2ErAl3Cu3 for Cu Kα, from a GGA-PBE-relaxed structure.
Kinematic intensities with the Lorentz-polarization factor, no thermal factor.

Cell and atoms:
Lattice parameters (Å, degrees): 3.9784 12.1174 6.9951 90.00 90.00 90.00
Space group Amm2 (No. 38)
Unique sites:
1 Ho 0.0000 0.2074 0.0000
2 Er 0.0000 0.0000 0.3779
3 Al 0.5000 0.0000 0.0297
4 Al 0.5000 0.1184 0.6736
5 Cu 0.0000 0.0000 0.7918
6 Cu 0.5000 0.1661 0.2927

Largest 8 diffraction maxima, by intensity, 10 to 90 degrees two-theta:
Position (°2θ)	Rel. int.	h k l
34.1	100	1 3 1
37.3	96	1 4 0
25.5	37	0 3 1
59.7	35	1 5 3
29.5	33	0 2 2
39.3	30	0 1 3
22.3	28	1 0 0
54.6	25	0 7 1

---

# 4
Calculated X-ray powder pattern of Li2Zr2SeS3 for Cu Kα, from a GGA-PBE-relaxed structure.
Kinematic intensities with the Lorentz-polarization factor, no thermal factor.

Cell and atoms:
Lattice parameters (Å, degrees): 12.5642 5.6384 5.9926 90.00 118.34 90.00
Space group C2 (No. 5)
Unique sites:
1 Li 0.1195 0.0000 0.3558
2 Zr 0.1466 0.5199 0.9030
3 Se 0.0000 0.2733 0.5000
4 S 0.0000 0.7381 0.0000
5 S 0.2502 0.2640 0.2791

Largest 8 diffraction maxima, by intensity, 10 to 90 degrees two-theta:
Position (°2θ)	Rel. int.	h k l
27.0	100	1 1 1
16.8	41	2 0 -1
17.7	31	1 1 0
44.1	25	2 2 -2
46.0	19	4 2 0
36.1	18	0 2 1
28.9	17	3 1 0
51.3	15	5 1 -3

---

# 5
Calculated X-ray powder pattern of Sm2SnC2 for Cu Kα, from a GGA-PBE-relaxed structure.
Kinematic intensities with the Lorentz-polarization factor, no thermal factor.

Cell and atoms:
Lattice parameters (Å, degrees): 7.2644 5.1932 10.2457 90.00 90.00 90.00
Space group Pnma (No. 62)
Unique sites:
1 Sm 0.0458 0.2500 0.2207
2 Sm 0.1602 0.2500 0.5730
3 Sn 0.2188 0.2500 0.8842
4 C 0.0519 0.7500 0.2190
5 C 0.1480 0.7500 0.5825

Largest 8 diffraction maxima, by intensity, 10 to 90 degrees two-theta:
Position (°2θ)	Rel. int.	h k l
31.3	100	0 1 3
34.5	35	0 2 0
30.0	31	2 1 0
36.1	20	2 0 3
59.9	17	0 3 3
30.2	16	2 0 2
50.8	15	2 2 3
43.2	10	2 0 4

---

# 6
Calculated X-ray powder pattern of Zn2H2O5 for Cu Kα, from a GGA-PBE-relaxed structure.
Kinematic intensities with the Lorentz-polarization factor, no thermal factor.

Cell and atoms:
Lattice parameters (Å, degrees): 3.6452 3.6452 6.9058 90.00 90.00 90.00
Space group P4/mmm (No. 123)
Unique sites:
1 Zn 0.0000 0.0000 0.2350
2 H 0.5000 0.5000 0.0000
3 H 0.5000 0.5000 0.5000
4 O 0.0000 0.0000 0.5000
5 O 0.0000 0.5000 0.1061

Largest 8 diffraction maxima, by intensity, 10 to 90 degrees two-theta:
Position (°2θ)	Rel. int.	h k l
24.4	100	1 0 0
35.8	48	1 0 2
43.8	31	1 1 2
50.0	27	2 0 0
12.8	26	0 0 1
25.8	18	0 0 2
56.4	18	2 1 0
65.0	18	1 1 4

---

# 7
Calculated X-ray powder pattern of KHoZnO3 for Cu Kα, from a GGA-PBE-relaxed structure.
Kinematic intensities with the Lorentz-polarization factor, no thermal factor.

Cell and atoms:
Lattice parameters (Å, degrees): 3.4653 11.9343 8.9857 90.00 90.00 90.00
Space group Cmcm (No. 63)
Unique sites:
1 K 0.0000 0.2209 0.2500
2 Ho 0.0000 0.5000 0.0000
3 Zn 0.0000 0.0587 0.7500
4 O 0.0000 0.1172 0.5528
5 O 0.0000 0.4599 0.7500

Largest 8 diffraction maxima, by intensity, 10 to 90 degrees two-theta:
Position (°2θ)	Rel. int.	h k l
14.8	100	0 2 0
33.5	59	1 1 2
24.8	29	0 2 2
39.9	29	1 3 2
34.3	23	1 3 0
40.1	20	0 0 4
35.8	17	1 3 1
50.7	16	1 5 2

---

# 8
Calculated X-ray powder pattern of PuZn for Cu Kα, from a GGA-PBE-relaxed structure.
Kinematic intensities with the Lorentz-polarization factor, no thermal factor.

Cell and atoms:
Lattice parameters (Å, degrees): 4.3770 2.6218 5.6213 90.00 90.00 90.00
Space group Pmma (No. 51)
Unique sites:
1 Pu 0.2500 0.0000 0.0924
2 Zn 0.2500 0.5000 0.6022

Largest 8 diffraction maxima, by intensity, 10 to 90 degrees two-theta:
Position (°2θ)	Rel. int.	h k l
38.0	100	1 0 2
15.8	98	0 0 1
37.9	81	0 1 1
43.3	51	1 1 1
57.2	49	2 1 1
64.8	47	1 1 3
41.3	47	2 0 0
25.8	24	1 0 1

---

# 9
Calculated X-ray powder pattern of Tl4IrO4 for Cu Kα, from a GGA-PBE-relaxed structure.
Kinematic intensities with the Lorentz-polarization factor, no thermal factor.

Cell and atoms:
Lattice parameters (Å, degrees): 10.6662 6.0419 6.2597 90.00 114.67 90.00
Space group C2/m (No. 12)
Unique sites:
1 Tl 0.0897 0.0000 0.3169
2 Tl 0.1827 0.5000 0.1116
3 Ir 0.0000 0.5000 0.5000
4 O 0.0977 0.2733 0.7240

Largest 8 diffraction maxima, by intensity, 10 to 90 degrees two-theta:
Position (°2θ)	Rel. int.	h k l
29.4	100	3 1 -1
32.5	79	1 1 -2
28.8	50	2 0 1
41.7	47	2 2 1
29.6	47	0 2 0
49.4	22	5 1 0
54.3	20	1 3 -2
52.4	19	3 3 -1

---

# 10
Calculated X-ray powder pattern of Au for Cu Kα, from a GGA-PBE-relaxed structure.
Kinematic intensities with the Lorentz-polarization factor, no thermal factor.

Cell and atoms:
Lattice parameters (Å, degrees): 2.8657 2.8657 18.5356 90.00 90.00 120.00
Space group P-3m1 (No. 164)
Unique sites:
1 Au 0.0000 0.0000 0.2002
2 Au 0.3333 0.6667 0.0669
3 Au 0.3333 0.6667 0.6630

Largest 8 diffraction maxima, by intensity, 10 to 90 degrees two-theta:
Position (°2θ)	Rel. int.	h k l
43.9	100	0 1 5
37.5	97	1 0 2
39.1	83	1 0 3
33.9	44	0 0 7
62.5	35	1 0 10
65.1	31	1 1 0
75.4	27	1 1 7
38.9	23	0 0 8

---

Which formula does entry 2 have? Li4ZnSn2Pd

---

Which formula does entry 4 have? Li2Zr2SeS3

---

What is the formula in the ninth record? Tl4IrO4

---

Please write out number 6 again, unchanged.
Calculated X-ray powder pattern of Zn2H2O5 for Cu Kα, from a GGA-PBE-relaxed structure.
Kinematic intensities with the Lorentz-polarization factor, no thermal factor.

Cell and atoms:
Lattice parameters (Å, degrees): 3.6452 3.6452 6.9058 90.00 90.00 90.00
Space group P4/mmm (No. 123)
Unique sites:
1 Zn 0.0000 0.0000 0.2350
2 H 0.5000 0.5000 0.0000
3 H 0.5000 0.5000 0.5000
4 O 0.0000 0.0000 0.5000
5 O 0.0000 0.5000 0.1061

Largest 8 diffraction maxima, by intensity, 10 to 90 degrees two-theta:
Position (°2θ)	Rel. int.	h k l
24.4	100	1 0 0
35.8	48	1 0 2
43.8	31	1 1 2
50.0	27	2 0 0
12.8	26	0 0 1
25.8	18	0 0 2
56.4	18	2 1 0
65.0	18	1 1 4